# BaGa2Sb2
Calculated PXRD pattern, Cu Kα, 1.54184 Å. Input: a crystal structure in the Materials Project, relaxed with GGA-PBE.
Intensities are scaled so that the largest is 1000.

Main lines, by angle (10 to 80 degrees two-theta):
two_theta, d [Å], intensity
27.03, 3.299, 1000
27.57, 3.235, 439
29.21, 3.058, 187
31.40, 2.848, 183
33.49, 2.676, 271
34.09, 2.630, 328
35.46, 2.531, 186
39.91, 2.259, 388
43.91, 2.062, 194
49.21, 1.852, 208

abc: 25.8791 4.5178 10.4084
angles: 90.00 90.00 90.00
Space group Pnma (No. 62)
One atom of each set of equivalent atoms:
Ba  0.0381  0.2500  0.2219 [4 per cell]
Ba  0.2081  0.7500  0.4507 [4 per cell]
Ga  0.0342  0.2500  0.6030 [4 per cell]
Ga  0.0787  0.2500  0.8230 [4 per cell]
Ga  0.1817  0.7500  0.0327 [4 per cell]
Ga  0.2151  0.7500  0.7972 [4 per cell]
Sb  0.0706  0.7500  0.4824 [4 per cell]
Sb  0.0783  0.7500  0.9743 [4 per cell]
Sb  0.1707  0.2500  0.6998 [4 per cell]
Sb  0.1855  0.2500  0.1865 [4 per cell]


# Ba3Ga4Sb5
Calculated PXRD pattern, Cu Kα, 1.54184 Å. Input: a crystal structure in the Materials Project, relaxed with GGA-PBE.
Intensities are scaled so that the largest is 1000.

Main lines, by angle (10 to 80 degrees two-theta):
two_theta, d [Å], intensity
24.10, 3.692, 248
26.35, 3.382, 534
26.57, 3.355, 338
27.18, 3.281, 1000
27.59, 3.233, 483
29.85, 2.993, 633
33.32, 2.689, 303
36.05, 2.492, 217
40.14, 2.247, 516
50.79, 1.798, 358

abc: 4.4933 13.5371 25.6860
angles: 90.00 90.00 90.00
Space group Pmn2_1 (No. 31)
One atom of each set of equivalent atoms:
Ba  0.0000  0.0709  0.0000 [2 per cell]
Ba  0.0000  0.1111  0.2183 [2 per cell]
Ba  0.0000  0.2375  0.6113 [2 per cell]
Ba  0.0000  0.5788  0.4878 [2 per cell]
Ba  0.0000  0.6024  0.2783 [2 per cell]
Ba  0.0000  0.7273  0.8769 [2 per cell]
Ga  0.0000  0.0097  0.3805 [2 per cell]
Ga  0.0000  0.1529  0.7750 [2 per cell]
Ga  0.0000  0.2581  0.8613 [2 per cell]
Ga  0.0000  0.3360  0.4680 [2 per cell]
Ga  0.0000  0.4964  0.1115 [2 per cell]
Ga  0.0000  0.6534  0.7206 [2 per cell]
Ga  0.0000  0.7475  0.6337 [2 per cell]
Ga  0.0000  0.9339  0.1127 [2 per cell]
Sb  0.0000  0.1272  0.4676 [2 per cell]
Sb  0.0000  0.3038  0.0787 [2 per cell]
Sb  0.0000  0.3421  0.2802 [2 per cell]
Sb  0.0000  0.4555  0.8818 [2 per cell]
Sb  0.0000  0.4747  0.6719 [2 per cell]
Sb  0.0000  0.6336  0.0321 [2 per cell]
Sb  0.0000  0.8115  0.4112 [2 per cell]
Sb  0.0000  0.8372  0.2131 [2 per cell]
Sb  0.0000  0.9479  0.6117 [2 per cell]
Sb  0.0000  0.9705  0.8194 [2 per cell]


# Ba2GaSbSe5
Calculated PXRD pattern, Cu Kα, 1.54184 Å. Input: a crystal structure in the Materials Project, relaxed with GGA-PBE.
Intensities are scaled so that the largest is 1000.

Main lines, by angle (10 to 80 degrees two-theta):
two_theta, d [Å], intensity
22.85, 3.892, 127
26.93, 3.311, 153
27.83, 3.205, 1000
29.46, 3.032, 389
29.98, 2.981, 225
30.40, 2.941, 167
35.38, 2.537, 150
38.85, 2.318, 262
40.54, 2.225, 147
41.38, 2.182, 137

abc: 12.8089 9.2716 9.4588
angles: 90.00 90.00 90.00
Space group Pnma (No. 62)
One atom of each set of equivalent atoms:
Ba  0.1750  0.0069  0.1233 [8 per cell]
Ga  0.0971  0.7500  0.8328 [4 per cell]
Sb  0.0267  0.7500  0.4810 [4 per cell]
Se  0.0097  0.2500  0.9616 [4 per cell]
Se  0.0585  0.5433  0.6757 [8 per cell]
Se  0.2185  0.7500  0.3839 [4 per cell]
Se  0.2198  0.2500  0.3928 [4 per cell]


# Ba5Ga2Se8
Calculated PXRD pattern, Cu Kα, 1.54184 Å. Input: a crystal structure in the Materials Project, relaxed with GGA-PBE.
Intensities are scaled so that the largest is 1000.

Main lines, by angle (10 to 80 degrees two-theta):
two_theta, d [Å], intensity
25.00, 3.562, 179
29.11, 3.068, 1000
29.41, 3.037, 906
31.66, 2.826, 397
32.07, 2.791, 430
37.71, 2.386, 177
46.44, 1.955, 160
50.32, 1.813, 139
56.63, 1.625, 165
58.87, 1.569, 167

abc: 23.8557 12.6925 12.4294
angles: 90.00 90.00 90.00
Space group Cmce (No. 64)
One atom of each set of equivalent atoms:
Ba  0.0968  0.1583  0.0048 [16 per cell]
Ba  0.1001  0.0031  0.3434 [16 per cell]
Ba  0.2500  0.2452  0.7500 [8 per cell]
Ga  0.0000  0.1863  0.7301 [8 per cell]
Ga  0.2501  0.0000  0.0000 [8 per cell]
Se  0.0000  0.0239  0.8481 [8 per cell]
Se  0.0000  0.1461  0.5322 [8 per cell]
Se  0.0928  0.2449  0.2575 [16 per cell]
Se  0.1865  0.0007  0.1515 [16 per cell]
Se  0.1871  0.1509  0.5018 [16 per cell]


# BaGa4Se7
Calculated PXRD pattern, Cu Kα, 1.54184 Å. Input: a crystal structure in the Materials Project, relaxed with GGA-PBE.
Intensities are scaled so that the largest is 1000.

Main lines, by angle (10 to 80 degrees two-theta):
two_theta, d [Å], intensity
27.48, 3.245, 1000
27.72, 3.219, 685
27.82, 3.206, 816
30.06, 2.973, 977
44.46, 2.038, 308
44.62, 2.031, 285
46.76, 1.943, 288
47.21, 1.925, 548
50.64, 1.803, 462
55.69, 1.650, 365

abc: 7.7708 6.6501 14.9882
angles: 90.00 121.16 90.00
Space group Pc (No. 7)
One atom of each set of equivalent atoms:
Ba  0.0000  0.1469  0.0000 [2 per cell]
Ga  0.0716  0.3415  0.3185 [2 per cell]
Ga  0.3266  0.1367  0.8211 [2 per cell]
Ga  0.5569  0.3339  0.3057 [2 per cell]
Ga  0.5639  0.4918  0.0461 [2 per cell]
Se  0.2353  0.3910  0.5034 [2 per cell]
Se  0.2353  0.4823  0.7373 [2 per cell]
Se  0.4658  0.0095  0.2236 [2 per cell]
Se  0.5585  0.1385  0.0070 [2 per cell]
Se  0.7470  0.4709  0.7420 [2 per cell]
Se  0.7801  0.3501  0.4922 [2 per cell]
Se  0.9957  0.0043  0.7666 [2 per cell]


# Ba2GaSe4
Calculated PXRD pattern, Cu Kα, 1.54184 Å. Input: a crystal structure in the Materials Project, relaxed with GGA-PBE.
Intensities are scaled so that the largest is 1000.

Main lines, by angle (10 to 80 degrees two-theta):
two_theta, d [Å], intensity
21.83, 4.071, 194
27.27, 3.271, 707
27.40, 3.255, 179
28.71, 3.110, 1000
30.83, 2.900, 160
32.80, 2.730, 167
34.15, 2.625, 199
38.34, 2.348, 178
39.98, 2.255, 177
40.04, 2.252, 185

abc: 13.4355 6.5415 21.0353
angles: 90.00 104.29 90.00
Space group P2_1/c (No. 14)
One atom of each set of equivalent atoms:
Ba  0.0275  0.2315  0.1876 [4 per cell]
Ba  0.1184  0.2372  0.4620 [4 per cell]
Ba  0.3542  0.7432  0.4515 [4 per cell]
Ba  0.3932  0.2350  0.2838 [4 per cell]
Ga  0.1965  0.6831  0.5998 [4 per cell]
Ga  0.3849  0.1769  0.5982 [4 per cell]
Se  0.0793  0.7272  0.1644 [4 per cell]
Se  0.1108  0.7350  0.4827 [4 per cell]
Se  0.1867  0.0503  0.3258 [4 per cell]
Se  0.1879  0.0802  0.8251 [4 per cell]
Se  0.2286  0.1868  0.1258 [4 per cell]
Se  0.3726  0.6930  0.1156 [4 per cell]
Se  0.3837  0.2453  0.4857 [4 per cell]
Se  0.4579  0.7362  0.3218 [4 per cell]


# Ba4Ga4SnSe12
Calculated PXRD pattern, Cu Kα, 1.54184 Å. Input: a crystal structure in the Materials Project, relaxed with GGA-PBE.
Intensities are scaled so that the largest is 1000.

Main lines, by angle (10 to 80 degrees two-theta):
two_theta, d [Å], intensity
19.60, 4.530, 349
24.26, 3.669, 406
26.69, 3.341, 625
27.04, 3.298, 1000
28.65, 3.116, 394
29.63, 3.015, 482
34.01, 2.636, 369
37.22, 2.416, 625
46.85, 1.939, 289
47.71, 1.906, 356

abc: 13.9909 13.9909 6.5656
angles: 90.00 90.00 90.00
Space group P-42_1c (No. 114)
One atom of each set of equivalent atoms:
Ba  0.0194  0.3061  0.0461 [8 per cell]
Ga  0.1420  0.7549  0.5501 [8 per cell]
Sn  0.0000  0.0000  0.5000 [2 per cell]
Se  0.0149  0.6409  0.5439 [8 per cell]
Se  0.0929  0.8941  0.7538 [8 per cell]
Se  0.1962  0.7915  0.2043 [8 per cell]